This entry pairs a crystal structure of U6Fe with its theoretical XRD peak list. Radiation: Cu Kα (weighted mean of Kα1 and Kα2). Structure: a structure optimized by DFT (PBE).
Peak positions follow from Bragg's law for the DFT cell and can differ from measured ones.

Main lines, low angle first (2θ = 10–80°):
34.21°, d = 2.621 Å, intensity 28; 36.23°, d = 2.480 Å, intensity 100; 45.59°, d = 1.990 Å, intensity 13; 62.57°, d = 1.484 Å, intensity 21; 65.71°, d = 1.421 Å, intensity 10; 75.54°, d = 1.259 Å, intensity 12

Atomic structure:
a = 7.639 Å, b = 7.639 Å, c = 7.639 Å
α = 96.76°, β = 96.76°, γ = 139.86°
Element x y z (fractional)
U 0.094 0.594 0.688
U 0.101 0.218 0.318
U 0.218 0.899 0.117
U 0.282 0.399 0.682
U 0.399 0.718 0.117
U 0.406 0.094 0.500
U 0.594 0.906 0.500
U 0.601 0.282 0.883
U 0.718 0.601 0.318
U 0.782 0.101 0.883
U 0.899 0.782 0.682
U 0.906 0.406 0.312
Fe 0.250 0.250 0.000
Fe 0.750 0.750 0.000